Computed PXRD pattern
Compound: Pr2AlAgS5
Radiation: Cu Kα (λ = 1.5418 Å)
Structure: a structure optimized by DFT (PBE)
Peak positions follow from Bragg's law for the DFT cell and can differ from measured ones.

Structure:
```
data_Pr2AlAgS5
_cell_length_a 9.007
_cell_length_b 9.007
_cell_length_c 11.377
_cell_angle_alpha 90.00
_cell_angle_beta 90.00
_cell_angle_gamma 154.85
_symmetry_space_group_name_H-M 'P 1'
_symmetry_Int_Tables_number 1
_symmetry_space_group_name_Hall 'P 1'
loop_
_atom_site_label
_atom_site_type_symbol
_atom_site_fract_x
_atom_site_fract_y
_atom_site_fract_z
Pr1 Pr 0.119 0.881 0.500
Pr2 Pr 0.126 0.874 0.117
Pr3 Pr 0.874 0.126 0.617
Pr4 Pr 0.881 0.119 0.000
Al1 Al 0.432 0.568 0.270
Al2 Al 0.568 0.432 0.770
Ag1 Ag 0.226 0.774 0.841
Ag2 Ag 0.774 0.226 0.341
S1 S 0.042 0.958 0.873
S2 S 0.292 0.708 0.495
S3 S 0.320 0.680 0.174
S4 S 0.369 0.631 0.813
S5 S 0.497 0.503 0.097
S6 S 0.503 0.497 0.597
S7 S 0.631 0.369 0.313
S8 S 0.680 0.320 0.674
S9 S 0.708 0.292 0.995
S10 S 0.958 0.042 0.373
```

Peak list (12 most intense, 2θ = 10–80°, sorted by position)
d = 3.828 Å, I 21
d = 3.480 Å, I 82
d = 3.260 Å, I 19
d = 3.176 Å, I 23
d = 3.134 Å, I 24
d = 2.839 Å, I 45
d = 2.828 Å, I 18
d = 2.694 Å, I 100
d = 2.378 Å, I 56
d = 2.201 Å, I 27
d = 1.961 Å, I 26
d = 1.709 Å, I 22